(1)
Theoretical powder XRD pattern of Nd4SmTm for λ = 1.5418 Å (Cu Kα), from a cell relaxed with PBE.
Peak positions follow from Bragg's law for the DFT cell and can differ from measured ones.

Main lines, low angle first (2θ from 10° to 80°):
(1 1 0), d 3.301, 27.01 deg, I = 51
(2 0 2), d 2.960, 30.19 deg, I = 96
(2 0 -4), d 2.912, 30.70 deg, I = 52
(3 1 -2), d 2.587, 34.68 deg, I = 100
(1 1 -4), d 2.184, 41.34 deg, I = 33
(5 1 0), d 1.775, 51.49 deg, I = 22
(0 0 6), d 1.690, 54.27 deg, I = 19
(5 1 -6), d 1.611, 57.18 deg, I = 24
(2 2 2), d 1.502, 61.78 deg, I = 25
(2 2 -4), d 1.495, 62.08 deg, I = 14

Atomic structure:
```
data_Nd4SmTm
_cell_length_a 11.8530
_cell_length_b 3.4847
_cell_length_c 11.6476
_cell_angle_alpha 90.00
_cell_angle_beta 119.54
_cell_angle_gamma 90.00
_space_group_name_H-M_alt 'C 1 2/m 1'
_space_group_IT_number 12
_space_group_name_Hall '-C 2y'
loop_
_atom_site_label
_atom_site_fract_x
_atom_site_fract_y
_atom_site_fract_z
_atom_site_occupancy
Nd1 0.1870 0.0000 0.3422 1
Nd2 0.1907 0.0000 0.8462 1
Sm1 0.0000 0.0000 0.5000 1
Tm1 0.0000 0.0000 0.0000 1
```

(2)
Theoretical powder XRD pattern of Nd3Sm5Tm for λ = 1.5418 Å (Cu Kα), from a cell relaxed with PBE.
Peak positions follow from Bragg's law for the DFT cell and can differ from measured ones.

Main lines, low angle first (2θ from 10° to 80°):
(0 2 0), d 5.835, 15.19 deg, I = 60
(2 2 -2), d 3.787, 23.49 deg, I = 30
(2 2 1), d 3.103, 28.77 deg, I = 69
(4 0 0), d 2.955, 30.25 deg, I = 33
(0 4 0), d 2.917, 30.65 deg, I = 99
(1 1 -3), d 2.814, 31.80 deg, I = 71
(5 1 -3), d 2.800, 31.96 deg, I = 100
(4 2 0), d 2.636, 34.01 deg, I = 68
(1 3 -3), d 2.325, 38.73 deg, I = 46
(5 3 -3), d 2.316, 38.88 deg, I = 48

Atomic structure:
```
data_Nd3Sm5Tm
_cell_length_a 15.3967
_cell_length_b 11.6693
_cell_length_c 9.9474
_cell_angle_alpha 90.00
_cell_angle_beta 129.86
_cell_angle_gamma 90.00
_space_group_name_H-M_alt 'C 1 2/m 1'
_space_group_IT_number 12
_space_group_name_Hall '-C 2y'
loop_
_atom_site_label
_atom_site_fract_x
_atom_site_fract_y
_atom_site_fract_z
_atom_site_occupancy
Nd1 0.0000 0.0000 0.0000 1
Nd2 0.0000 0.5000 0.5000 1
Nd3 0.0058 0.0000 0.3162 1
Nd4 0.0154 0.5000 0.8515 1
Sm1 0.0000 0.2470 0.5000 1
Sm2 0.1544 0.2475 0.2413 1
Sm3 0.2250 0.5000 0.5453 1
Sm4 0.2257 0.0000 0.7301 1
Tm1 0.2477 0.5000 0.9028 1
```

(3)
Theoretical powder XRD pattern of Nd8Sm3Tm for λ = 1.5418 Å (Cu Kα), from a cell relaxed with PBE.
Peak positions follow from Bragg's law for the DFT cell and can differ from measured ones.

Main lines, low angle first (2θ from 10° to 80°):
(2 1 1), d 3.740, 23.79 deg, I = 58
(2 0 2), d 3.518, 25.32 deg, I = 47
(2 2 0), d 3.123, 28.59 deg, I = 78
(0 0 4), d 2.909, 30.73 deg, I = 71
(2 2 2), d 2.751, 32.54 deg, I = 28
(3 1 2), d 2.518, 35.66 deg, I = 100
(2 2 4), d 2.129, 42.47 deg, I = 53
(4 0 2), d 2.064, 43.86 deg, I = 47
(5 1 2), d 1.660, 55.34 deg, I = 29
(4 4 4), d 1.376, 68.17 deg, I = 32

Atomic structure:
```
data_Nd8Sm3Tm
_cell_length_a 8.8321
_cell_length_b 8.8321
_cell_length_c 11.6364
_cell_angle_alpha 90.00
_cell_angle_beta 90.00
_cell_angle_gamma 90.00
_space_group_name_H-M_alt 'I -4 2 m'
_space_group_IT_number 121
_space_group_name_Hall 'I -4 2'
loop_
_atom_site_label
_atom_site_fract_x
_atom_site_fract_y
_atom_site_fract_z
_atom_site_occupancy
Nd1 0.1245 0.1245 0.2483 1
Nd2 0.2475 0.2475 0.9939 1
Sm1 0.0000 0.0000 0.5000 1
Sm2 0.0000 0.5000 0.2500 1
Tm1 0.0000 0.0000 0.0000 1
```

(4)
Theoretical powder XRD pattern of NdSm4Tm5 for λ = 1.5418 Å (Cu Kα), from a cell relaxed with PBE.
Peak positions follow from Bragg's law for the DFT cell and can differ from measured ones.

Main lines, low angle first (2θ from 10° to 80°):
(2 0 3), d 3.406, 26.16 deg, I = 18
(1 1 1), d 3.295, 27.06 deg, I = 22
(6 0 0), d 2.847, 31.42 deg, I = 29
(4 0 -3), d 2.809, 31.86 deg, I = 13
(4 0 3), d 2.797, 32.00 deg, I = 13
(0 0 4), d 2.786, 32.13 deg, I = 19
(3 1 2), d 2.638, 33.98 deg, I = 100
(1 1 -5), d 1.872, 48.64 deg, I = 15
(7 1 -5), d 1.493, 62.17 deg, I = 11
(0 2 4), d 1.489, 62.37 deg, I = 17

Atomic structure:
```
data_NdSm4Tm5
_cell_length_a 17.0830
_cell_length_b 3.5218
_cell_length_c 11.1433
_cell_angle_alpha 90.00
_cell_angle_beta 90.25
_cell_angle_gamma 90.00
_space_group_name_H-M_alt 'C 1 2/m 1'
_space_group_IT_number 12
_space_group_name_Hall '-C 2y'
loop_
_atom_site_label
_atom_site_fract_x
_atom_site_fract_y
_atom_site_fract_z
_atom_site_occupancy
Nd1 0.0000 0.0000 0.0000 1
Sm1 0.0307 0.5000 0.7471 1
Sm2 0.1558 0.0000 0.2499 1
Tm1 0.0000 0.0000 0.5000 1
Tm2 0.1729 0.5000 0.5462 1
Tm3 0.1748 0.5000 0.9480 1
```

(5)
Theoretical powder XRD pattern of Nd2Sm5Tm12 for λ = 1.5418 Å (Cu Kα), from a cell relaxed with PBE.
Peak positions follow from Bragg's law for the DFT cell and can differ from measured ones.

Main lines, low angle first (2θ from 10° to 80°):
(-1 1 3), d 3.074, 29.05 deg, I = 17
(1 0 -3), d 3.042, 29.36 deg, I = 45
(0 3 1), d 2.870, 31.16 deg, I = 66
(1 -1 3), d 2.752, 32.54 deg, I = 100
(2 -1 0), d 2.737, 32.72 deg, I = 95
(1 1 -3), d 2.665, 33.63 deg, I = 15
(1 2 -2), d 2.622, 34.20 deg, I = 15
(3 1 4), d 1.821, 50.09 deg, I = 18
(1 -4 2), d 1.632, 56.38 deg, I = 17
(3 -2 3), d 1.538, 60.18 deg, I = 21

Atomic structure:
```
data_Nd2Sm5Tm12
_cell_length_a 6.2305
_cell_length_b 8.8030
_cell_length_c 12.0782
_cell_angle_alpha 68.70
_cell_angle_beta 80.64
_cell_angle_gamma 79.77
_space_group_name_H-M_alt 'P -1'
_space_group_IT_number 2
_space_group_name_Hall '-P 1'
loop_
_atom_site_label
_atom_site_fract_x
_atom_site_fract_y
_atom_site_fract_z
_atom_site_occupancy
Nd1 0.2386 0.9997 0.0679 1
Sm1 0.1422 0.6593 0.9908 1
Sm2 0.2811 0.1753 0.4891 1
Sm3 0.5000 0.5000 0.5000 1
Tm1 0.0429 0.5758 0.3243 1
Tm2 0.1877 0.7600 0.6690 1
Tm3 0.2237 0.9012 0.3618 1
Tm4 0.2744 0.0423 0.7837 1
Tm5 0.3362 0.2920 0.1779 1
Tm6 0.4086 0.3739 0.8398 1
```

(6)
Theoretical powder XRD pattern of Nd2Sm3Tm5 for λ = 1.5418 Å (Cu Kα), from a cell relaxed with PBE.
Peak positions follow from Bragg's law for the DFT cell and can differ from measured ones.

Main lines, low angle first (2θ from 10° to 80°):
(2 4 0), d 2.949, 30.31 deg, I = 100
(2 2 -3), d 2.913, 30.69 deg, I = 85
(0 4 2), d 2.782, 32.18 deg, I = 20
(4 0 -2), d 2.648, 33.86 deg, I = 42
(2 6 -1), d 2.379, 37.82 deg, I = 14
(2 0 2), d 2.323, 38.77 deg, I = 15
(0 6 3), d 1.855, 49.12 deg, I = 18
(6 4 -2), d 1.581, 58.39 deg, I = 16
(2 10 -3), d 1.423, 65.62 deg, I = 19
(2 4 -6), d 1.395, 67.12 deg, I = 18

Atomic structure:
```
data_Nd2Sm3Tm5
_cell_length_a 10.5905
_cell_length_b 15.9754
_cell_length_c 9.3796
_cell_angle_alpha 90.00
_cell_angle_beta 124.24
_cell_angle_gamma 90.00
_space_group_name_H-M_alt 'C 1 2/c 1'
_space_group_IT_number 15
_space_group_name_Hall '-C 2yc'
loop_
_atom_site_label
_atom_site_fract_x
_atom_site_fract_y
_atom_site_fract_z
_atom_site_occupancy
Nd1 0.1432 0.1237 0.0484 1
Sm1 0.0000 0.2715 0.7500 1
Sm2 0.1560 0.3783 0.5486 1
Tm1 0.0000 0.0229 0.2500 1
Tm2 0.0000 0.2310 0.2500 1
Tm3 0.0000 0.4736 0.7500 1
Tm4 0.2365 0.3832 0.2275 1
```